[1]
Structure and simulated powder diffraction line list of NaMnSb (a structure optimized by DFT (GGA-PBE); copper Kα).
Lines closer than 0.1° are merged.

Most intense lines, 10 to 90 degrees two-theta, by angle:
d = 7.493 Å, 2θ 11.81, rel. 58; d = 3.812 Å, 2θ 23.34, rel. 100; d = 3.131 Å, 2θ 28.51, rel. 25; d = 2.860 Å, 2θ 31.28, rel. 25; d = 2.402 Å, 2θ 37.43, rel. 92; d = 2.214 Å, 2θ 40.76, rel. 48; d = 2.175 Å, 2θ 41.51, rel. 25; d = 1.914 Å, 2θ 47.49, rel. 30; d = 1.552 Å, 2θ 59.58, rel. 17; d = 1.312 Å, 2θ 72.00, rel. 25

Atomic structure:
Cell lengths 4.428, 4.428, 7.493 Å; angles 90.00, 90.00, 90.00 degrees
Element x y z (fractional)
Na: 0.250 0.250 0.151
Na: 0.750 0.750 0.849
Mn: 0.250 0.750 0.500
Mn: 0.750 0.250 0.500
Sb: 0.250 0.250 0.717
Sb: 0.750 0.750 0.283

---

[2]
Structure and simulated powder diffraction line list of Si4Rh3 (a structure optimized by DFT (GGA-PBE); copper Kα).
Lines closer than 0.1° are merged.

Most intense lines, 10 to 90 degrees two-theta, by angle:
d = 3.686 Å, 2θ 24.15, rel. 41; d = 3.159 Å, 2θ 28.25, rel. 47; d = 3.100 Å, 2θ 28.80, rel. 65; d = 3.059 Å, 2θ 29.19, rel. 94; d = 2.150 Å, 2θ 42.03, rel. 65; d = 2.059 Å, 2θ 43.97, rel. 54; d = 2.039 Å, 2θ 44.42, rel. 100; d = 1.989 Å, 2θ 45.62, rel. 37; d = 1.868 Å, 2θ 48.76, rel. 37; d = 1.826 Å, 2θ 49.95, rel. 45

Atomic structure:
Cell lengths 18.956, 3.652, 5.865 Å; angles 90.00, 90.00, 90.00 degrees
Element x y z (fractional)
Si: 0.049 0.250 0.021
Si: 0.090 0.250 0.569
Si: 0.143 0.750 0.113
Si: 0.232 0.250 0.280
Si: 0.268 0.750 0.780
Si: 0.357 0.250 0.613
Si: 0.410 0.750 0.069
Si: 0.451 0.750 0.521
Si: 0.549 0.250 0.479
Si: 0.590 0.250 0.931
Si: 0.643 0.750 0.387
Si: 0.732 0.250 0.220
Si: 0.768 0.750 0.720
Si: 0.857 0.250 0.887
Si: 0.910 0.750 0.431
Si: 0.951 0.750 0.979
Rh: 0.032 0.750 0.312
Rh: 0.175 0.250 0.886
Rh: 0.176 0.750 0.497
Rh: 0.324 0.250 0.997
Rh: 0.325 0.750 0.386
Rh: 0.468 0.250 0.812
Rh: 0.532 0.750 0.188
Rh: 0.675 0.250 0.614
Rh: 0.676 0.750 0.003
Rh: 0.824 0.250 0.503
Rh: 0.825 0.750 0.114
Rh: 0.968 0.250 0.688

---

[3]
Structure and simulated powder diffraction line list of NpPa3 (a structure optimized by DFT (GGA-PBE); copper Kα).
Lines closer than 0.1° are merged.

Most intense lines, 10 to 90 degrees two-theta, by angle:
d = 2.603 Å, 2θ 34.46, rel. 100; d = 2.477 Å, 2θ 36.27, rel. 22; d = 2.163 Å, 2θ 41.76, rel. 30; d = 1.629 Å, 2θ 56.49, rel. 25; d = 1.529 Å, 2θ 60.54, rel. 10; d = 1.453 Å, 2θ 64.09, rel. 17; d = 1.319 Å, 2θ 71.56, rel. 25; d = 1.301 Å, 2θ 72.66, rel. 12; d = 1.238 Å, 2θ 77.00, rel. 3

Atomic structure:
Cell lengths 5.822, 5.822, 5.822 Å; angles 136.38, 136.38, 63.39 degrees
Element x y z (fractional)
Np: 0.000 0.000 0.000
Pa: 0.250 0.750 0.500
Pa: 0.500 0.500 0.000
Pa: 0.750 0.250 0.500

---

[4]
Structure and simulated powder diffraction line list of CeInPd2 (a structure optimized by DFT (GGA-PBE); copper Kα).
Lines closer than 0.1° are merged.

Most intense lines, 10 to 90 degrees two-theta, by angle:
d = 3.025 Å, 2θ 29.53, rel. 32; d = 2.425 Å, 2θ 37.08, rel. 94; d = 2.345 Å, 2θ 38.38, rel. 100; d = 1.686 Å, 2θ 54.43, rel. 31; d = 1.416 Å, 2θ 65.95, rel. 15; d = 1.369 Å, 2θ 68.55, rel. 30; d = 1.354 Å, 2θ 69.41, rel. 17; d = 1.271 Å, 2θ 74.71, rel. 10; d = 1.212 Å, 2θ 78.97, rel. 9; d = 1.173 Å, 2θ 82.21, rel. 11

Atomic structure:
Cell lengths 4.691, 4.691, 9.067 Å; angles 90.00, 90.00, 120.00 degrees
Element x y z (fractional)
Ce: 0.333 0.667 0.250
Ce: 0.667 0.333 0.750
In: 0.000 0.000 0.000
In: 0.000 0.000 0.500
Pd: 0.333 0.667 0.584
Pd: 0.333 0.667 0.916
Pd: 0.667 0.333 0.084
Pd: 0.667 0.333 0.416

---

[5]
Structure and simulated powder diffraction line list of CaEuYSbO6 (a structure optimized by DFT (GGA-PBE); copper Kα).
Lines closer than 0.1° are merged.

Most intense lines, 10 to 90 degrees two-theta, by angle:
d = 4.823 Å, 2θ 18.40, rel. 21; d = 2.953 Å, 2θ 30.26, rel. 100; d = 2.519 Å, 2θ 35.65, rel. 12; d = 2.088 Å, 2θ 43.33, rel. 33; d = 1.916 Å, 2θ 47.44, rel. 5; d = 1.705 Å, 2θ 53.76, rel. 39; d = 1.477 Å, 2θ 62.94, rel. 20; d = 1.321 Å, 2θ 71.42, rel. 17; d = 1.206 Å, 2θ 79.50, rel. 6; d = 1.116 Å, 2θ 87.36, rel. 21

Atomic structure:
Cell lengths 5.906, 5.906, 5.906 Å; angles 60.00, 60.00, 60.00 degrees
Element x y z (fractional)
Ca: 0.000 0.000 0.000
Eu: 0.500 0.500 0.500
Y: 0.250 0.250 0.250
Sb: 0.750 0.750 0.750
O: 0.513 0.513 0.987
O: 0.513 0.987 0.513
O: 0.513 0.987 0.987
O: 0.987 0.513 0.513
O: 0.987 0.513 0.987
O: 0.987 0.987 0.513

---

[6]
Structure and simulated powder diffraction line list of K2YCuI6 (a structure optimized by DFT (GGA-PBE); copper Kα).
Lines closer than 0.1° are merged.

Most intense lines, 10 to 90 degrees two-theta, by angle:
d = 5.894 Å, 2θ 15.03, rel. 60; d = 3.403 Å, 2θ 26.19, rel. 90; d = 2.947 Å, 2θ 30.33, rel. 100; d = 2.636 Å, 2θ 34.01, rel. 32; d = 2.084 Å, 2θ 43.42, rel. 72; d = 1.965 Å, 2θ 46.21, rel. 17; d = 1.777 Å, 2θ 51.42, rel. 40; d = 1.701 Å, 2θ 53.88, rel. 25; d = 1.318 Å, 2θ 71.60, rel. 31; d = 1.203 Å, 2θ 79.70, rel. 23

Atomic structure:
Cell lengths 8.336, 8.336, 8.336 Å; angles 60.00, 60.00, 60.00 degrees
Element x y z (fractional)
K: 0.250 0.250 0.250
K: 0.750 0.750 0.750
Y: 0.000 0.000 0.000
Cu: 0.500 0.500 0.500
I: 0.256 0.256 0.744
I: 0.256 0.744 0.256
I: 0.256 0.744 0.744
I: 0.744 0.256 0.256
I: 0.744 0.256 0.744
I: 0.744 0.744 0.256

---

[7]
Structure and simulated powder diffraction line list of TlV4FeS8 (a structure optimized by DFT (GGA-PBE); copper Kα).
Lines closer than 0.1° are merged.

Most intense lines, 10 to 90 degrees two-theta, by angle:
d = 8.392 Å, 2θ 10.54, rel. 49; d = 4.209 Å, 2θ 21.11, rel. 93; d = 4.080 Å, 2θ 21.78, rel. 66; d = 2.961 Å, 2θ 30.19, rel. 39; d = 2.661 Å, 2θ 33.68, rel. 48; d = 2.580 Å, 2θ 34.77, rel. 100; d = 2.497 Å, 2θ 35.96, rel. 50; d = 2.158 Å, 2θ 41.87, rel. 36; d = 2.114 Å, 2θ 42.77, rel. 85; d = 1.669 Å, 2θ 55.04, rel. 46

Atomic structure:
Cell lengths 8.861, 8.861, 8.466 Å; angles 105.15, 105.15, 21.48 degrees
Element x y z (fractional)
Tl: 0.000 0.000 0.000
V: 0.147 0.147 0.498
V: 0.211 0.211 0.859
V: 0.789 0.789 0.141
V: 0.853 0.853 0.502
Fe: 0.500 0.500 0.500
S: 0.069 0.069 0.669
S: 0.259 0.259 0.338
S: 0.341 0.341 0.005
S: 0.419 0.419 0.677
S: 0.581 0.581 0.323
S: 0.659 0.659 0.995
S: 0.741 0.741 0.662
S: 0.931 0.931 0.331

---

[8]
Structure and simulated powder diffraction line list of AlSbO3 (a structure optimized by DFT (GGA-PBE); copper Kα).
Lines closer than 0.1° are merged.

Most intense lines, 10 to 90 degrees two-theta, by angle:
d = 6.551 Å, 2θ 13.52, rel. 92; d = 3.275 Å, 2θ 27.23, rel. 42; d = 2.775 Å, 2θ 32.26, rel. 100; d = 2.605 Å, 2θ 34.42, rel. 31; d = 2.381 Å, 2θ 37.79, rel. 45; d = 1.926 Å, 2θ 47.20, rel. 37; d = 1.731 Å, 2θ 52.89, rel. 12; d = 1.639 Å, 2θ 56.11, rel. 27; d = 1.563 Å, 2θ 59.12, rel. 13; d = 1.466 Å, 2θ 63.45, rel. 22

Atomic structure:
Cell lengths 5.679, 5.679, 13.102 Å; angles 90.00, 90.00, 120.00 degrees
Element x y z (fractional)
Al: 0.000 0.000 0.000
Al: 0.000 0.000 0.500
Al: 0.333 0.667 0.036
Al: 0.333 0.667 0.536
Al: 0.667 0.333 0.036
Al: 0.667 0.333 0.536
Sb: 0.000 0.297 0.254
Sb: 0.000 0.703 0.754
Sb: 0.297 0.000 0.254
Sb: 0.297 0.297 0.754
Sb: 0.703 0.000 0.754
Sb: 0.703 0.703 0.254
O: 0.000 0.000 0.134
O: 0.000 0.000 0.634
O: 0.000 0.316 0.466
O: 0.000 0.473 0.122
O: 0.000 0.527 0.622
O: 0.000 0.684 0.966
O: 0.316 0.000 0.466
O: 0.316 0.316 0.966
O: 0.333 0.667 0.297
O: 0.333 0.667 0.797
O: 0.473 0.000 0.122
O: 0.473 0.473 0.622
O: 0.527 0.000 0.622
O: 0.527 0.527 0.122
O: 0.667 0.333 0.297
O: 0.667 0.333 0.797
O: 0.684 0.000 0.966
O: 0.684 0.684 0.466

---

[9]
Structure and simulated powder diffraction line list of LiAg2F4 (a structure optimized by DFT (GGA-PBE); copper Kα).
Lines closer than 0.1° are merged.

Most intense lines, 10 to 90 degrees two-theta, by angle:
d = 5.242 Å, 2θ 16.92, rel. 69; d = 4.196 Å, 2θ 21.18, rel. 68; d = 3.274 Å, 2θ 27.24, rel. 45; d = 3.030 Å, 2θ 29.48, rel. 64; d = 2.907 Å, 2θ 30.76, rel. 100; d = 2.874 Å, 2θ 31.11, rel. 49; d = 2.837 Å, 2θ 31.54, rel. 43; d = 2.798 Å, 2θ 31.99, rel. 69; d = 2.269 Å, 2θ 39.73, rel. 42; d = 2.098 Å, 2θ 43.12, rel. 38

Atomic structure:
Cell lengths 6.064, 7.000, 11.205 Å; angles 90.00, 120.20, 90.00 degrees
Element x y z (fractional)
Li: 0.103 0.220 0.432
Li: 0.103 0.280 0.932
Li: 0.897 0.720 0.068
Li: 0.897 0.780 0.568
Ag: 0.246 0.671 0.446
Ag: 0.246 0.829 0.946
Ag: 0.495 0.008 0.277
Ag: 0.495 0.492 0.777
Ag: 0.505 0.508 0.223
Ag: 0.505 0.992 0.723
Ag: 0.754 0.171 0.054
Ag: 0.754 0.329 0.554
F: 0.157 0.157 0.101
F: 0.157 0.343 0.601
F: 0.240 0.745 0.220
F: 0.240 0.755 0.720
F: 0.242 0.526 0.989
F: 0.242 0.974 0.489
F: 0.325 0.124 0.900
F: 0.325 0.376 0.400
F: 0.675 0.624 0.600
F: 0.675 0.876 0.100
F: 0.758 0.026 0.511
F: 0.758 0.474 0.011
F: 0.760 0.245 0.280
F: 0.760 0.255 0.780
F: 0.843 0.657 0.399
F: 0.843 0.843 0.899

---

[10]
Structure and simulated powder diffraction line list of PrFe2Si2 (a structure optimized by DFT (GGA-PBE); copper Kα).
Lines closer than 0.1° are merged.

Most intense lines, 10 to 90 degrees two-theta, by angle:
d = 3.728 Å, 2θ 23.87, rel. 53; d = 2.541 Å, 2θ 35.32, rel. 66; d = 2.465 Å, 2θ 36.45, rel. 100; d = 2.456 Å, 2θ 36.58, rel. 17; d = 2.015 Å, 2θ 45.00, rel. 44; d = 1.766 Å, 2θ 51.76, rel. 14; d = 1.579 Å, 2θ 58.46, rel. 30; d = 1.558 Å, 2θ 59.33, rel. 16; d = 1.420 Å, 2θ 65.77, rel. 23; d = 1.233 Å, 2θ 77.39, rel. 27

Atomic structure:
Cell lengths 5.679, 5.679, 5.679 Å; angles 138.44, 138.44, 60.22 degrees
Element x y z (fractional)
Pr: 0.000 0.000 0.000
Fe: 0.250 0.750 0.500
Fe: 0.750 0.250 0.500
Si: 0.358 0.358 0.000
Si: 0.642 0.642 0.000

---

[11]
Structure and simulated powder diffraction line list of Cs2PrAuCl6 (a structure optimized by DFT (GGA-PBE); copper Kα).
Lines closer than 0.1° are merged.

Most intense lines, 10 to 90 degrees two-theta, by angle:
d = 3.916 Å, 2θ 22.71, rel. 100; d = 2.769 Å, 2θ 32.33, rel. 50; d = 2.261 Å, 2θ 39.87, rel. 48; d = 1.958 Å, 2θ 46.37, rel. 35; d = 1.751 Å, 2θ 52.23, rel. 22; d = 1.599 Å, 2θ 57.66, rel. 12; d = 1.480 Å, 2θ 62.77, rel. 26; d = 1.305 Å, 2θ 72.39, rel. 13; d = 1.238 Å, 2θ 77.00, rel. 15; d = 1.131 Å, 2θ 85.98, rel. 12

Atomic structure:
Cell lengths 7.833, 7.833, 7.833 Å; angles 60.00, 60.00, 60.00 degrees
Element x y z (fractional)
Cs: 0.250 0.250 0.250
Cs: 0.750 0.750 0.750
Pr: 0.000 0.000 0.000
Au: 0.500 0.500 0.500
Cl: 0.249 0.249 0.751
Cl: 0.249 0.751 0.249
Cl: 0.249 0.751 0.751
Cl: 0.751 0.249 0.249
Cl: 0.751 0.249 0.751
Cl: 0.751 0.751 0.249

---

[12]
Structure and simulated powder diffraction line list of LaAgO3 (a structure optimized by DFT (GGA-PBE); copper Kα).
Lines closer than 0.1° are merged.

Most intense lines, 10 to 90 degrees two-theta, by angle:
d = 2.965 Å, 2θ 30.14, rel. 100; d = 2.862 Å, 2θ 31.25, rel. 99; d = 2.059 Å, 2θ 43.97, rel. 50; d = 1.712 Å, 2θ 53.52, rel. 28; d = 1.691 Å, 2θ 54.23, rel. 44; d = 1.634 Å, 2θ 56.31, rel. 18; d = 1.483 Å, 2θ 62.66, rel. 14; d = 1.431 Å, 2θ 65.19, rel. 14; d = 1.317 Å, 2θ 71.69, rel. 16; d = 1.289 Å, 2θ 73.48, rel. 16

Atomic structure:
Cell lengths 5.731, 5.731, 5.731 Å; angles 62.32, 62.32, 62.32 degrees
Element x y z (fractional)
La: 0.000 0.000 0.000
La: 0.500 0.500 0.500
Ag: 0.240 0.240 0.240
Ag: 0.740 0.740 0.740
O: 0.092 0.887 0.473
O: 0.387 0.592 0.973
O: 0.473 0.092 0.887
O: 0.592 0.973 0.387
O: 0.887 0.473 0.092
O: 0.973 0.387 0.592